Diffraction record for TbZnNi. The X-ray diffraction stick pattern is computed, not measured: it uses a GGA-PBE-relaxed structure and Cu Kα, 1.54184 Å.
Lines closer than 0.1° are merged.

Lattice parameters (Å, degrees): 7.0348 7.0348 3.7831 90.00 90.00 120.00
Space group P-62m (No. 189)
Symmetry-distinct sites (fractional):
Tb: 0.0000 0.5905 0.0000
Zn: 0.0000 0.2419 0.5000
Ni: 0.0000 0.0000 0.0000
Ni: 0.3333 0.6667 0.5000

Peak list (8 most intense, 2θ from 10° to 90°, sorted by position)
Position (°2θ)  I (rel.)  hkl
34.8  100  1 1 1
37.9  79  2 0 1
39.1  44  2 1 0
44.6  20  3 0 0
48.1  21  0 0 2
60.0  28  3 1 1
63.7  21  2 1 2
72.0  20  3 2 1